The following is a simulated powder diffraction line list of Nd2Nb2Ni15. It was derived from a DFT-relaxed cell (PBE, Alexandria), using Cu Kα (λ = 1.5418 Å).
Lines closer than 0.1° are merged.

Largest 8 diffraction maxima, sorted by position, 2θ = 10–90°:
- 30.09 deg, 2.970 Å, I 24
- 36.83 deg, 2.441 Å, I 54
- 37.81 deg, 2.379 Å, I 40
- 42.78 deg, 2.114 Å, I 74
- 42.93 deg, 2.107 Å, I 100
- 43.36 deg, 2.087 Å, I 32
- 43.66 deg, 2.073 Å, I 28
- 48.26 deg, 1.886 Å, I 35

Atomic structure:
```
Nd2Nb2Ni15
1.0
4.2272 2.4406 4.1741
-4.2272 2.4406 4.1741
0.0000 -4.8811 4.1741
Nd Nb Ni
2 2 15
Direct
0.1511 0.1511 0.1511
0.8489 0.8489 0.8489
0.3992 0.3992 0.3992
0.6008 0.6008 0.6008
0.0000 0.5000 0.5000
0.1564 0.1564 0.6558
0.1564 0.6558 0.1564
0.2024 0.5000 0.7976
0.2024 0.7976 0.5000
0.3442 0.8436 0.8436
0.5000 0.0000 0.5000
0.5000 0.2024 0.7976
0.5000 0.5000 0.0000
0.5000 0.7976 0.2024
0.6558 0.1564 0.1564
0.7976 0.2024 0.5000
0.7976 0.5000 0.2024
0.8436 0.3442 0.8436
0.8436 0.8436 0.3442
```


The following is a simulated powder diffraction line list of NdNb3O9. It was derived from a DFT-relaxed cell (PBE, Alexandria), using Cu Kα (λ = 1.5418 Å).
Lines closer than 0.1° are merged.

Largest 8 diffraction maxima, sorted by position, 2θ = 10–90°:
- 10.62 deg, 8.328 Å, I 56
- 26.53 deg, 3.360 Å, I 100
- 27.50 deg, 3.243 Å, I 85
- 28.41 deg, 3.141 Å, I 66
- 30.19 deg, 2.960 Å, I 54
- 30.63 deg, 2.919 Å, I 82
- 33.11 deg, 2.705 Å, I 54
- 47.09 deg, 1.930 Å, I 43

Atomic structure:
```
NdNb3O9
1.0
5.4144 0.0000 0.0000
0.0000 7.7168 0.0000
-0.6080 0.0000 16.6564
Nd Nb O
4 12 36
Direct
0.0330 0.2499 0.4676
0.0330 0.2501 0.9676
0.9670 0.7499 0.0324
0.9670 0.7501 0.5324
0.0088 0.0294 0.2486
0.0088 0.4706 0.7486
0.4710 0.0187 0.5994
0.4710 0.4813 0.0994
0.4805 0.5024 0.6000
0.4805 0.9976 0.1000
0.5195 0.0024 0.9000
0.5195 0.4976 0.4000
0.5290 0.5187 0.9006
0.5290 0.9813 0.4006
0.9912 0.5294 0.2514
0.9912 0.9706 0.7514
0.0988 0.2447 0.7402
0.0988 0.2553 0.2402
0.1491 0.5555 0.6434
0.1491 0.9445 0.1434
0.1534 0.5635 0.1433
0.1534 0.9365 0.6433
0.2619 0.5389 0.4827
0.2619 0.9611 0.9827
0.2627 0.5369 0.9831
0.2627 0.9631 0.4831
0.3179 0.5499 0.8113
0.3179 0.9501 0.3113
0.3219 0.5540 0.3099
0.3219 0.9460 0.8099
0.3471 0.2484 0.0799
0.3471 0.2516 0.5799
0.4359 0.2491 0.9052
0.4359 0.2509 0.4052
0.5641 0.7491 0.5948
0.5641 0.7509 0.0948
0.6529 0.7484 0.4201
0.6529 0.7516 0.9201
0.6781 0.0540 0.1901
0.6781 0.4460 0.6901
0.6821 0.0499 0.6887
0.6821 0.4501 0.1887
0.7373 0.0369 0.5169
0.7373 0.4631 0.0169
0.7381 0.0389 0.0173
0.7381 0.4611 0.5173
0.8466 0.0635 0.3567
0.8466 0.4365 0.8567
0.8509 0.0555 0.8566
0.8509 0.4445 0.3566
0.9012 0.7447 0.7598
0.9012 0.7553 0.2598
```


The following is a simulated powder diffraction line list of Nd6Nb5S16. It was derived from a DFT-relaxed cell (PBE, Alexandria), using Cu Kα (λ = 1.5418 Å).
Lines closer than 0.1° are merged.

Largest 8 diffraction maxima, sorted by position, 2θ = 10–90°:
- 22.43 deg, 3.964 Å, I 31
- 23.27 deg, 3.822 Å, I 73
- 25.00 deg, 3.561 Å, I 100
- 30.99 deg, 2.886 Å, I 31
- 31.88 deg, 2.807 Å, I 32
- 39.11 deg, 2.303 Å, I 66
- 39.84 deg, 2.263 Å, I 26
- 41.96 deg, 2.153 Å, I 41

Atomic structure:
```
Nd6Nb5S16
1.0
22.9335 0.0000 0.0000
0.0000 8.4225 2.8858
0.0000 -8.4225 2.8858
Nd Nb S
12 10 32
Direct
0.1711 0.0000 0.0000
0.1740 0.3582 0.6904
0.1740 0.6904 0.3582
0.3271 0.1968 0.8621
0.3268 0.5043 0.5043
0.3271 0.8621 0.1968
0.6729 0.1968 0.8621
0.6732 0.5043 0.5043
0.6729 0.8621 0.1968
0.8260 0.3582 0.6904
0.8260 0.6904 0.3582
0.8289 0.0000 0.0000
0.0000 0.1457 0.7479
0.0000 0.3433 0.5447
0.0000 0.5447 0.3433
0.0000 0.7479 0.1457
0.0000 0.9389 0.9389
0.5000 0.0943 0.0943
0.5000 0.2997 0.9019
0.5000 0.4947 0.6957
0.5000 0.6957 0.4947
0.5000 0.9019 0.2997
0.0676 0.2747 0.2747
0.0687 0.0763 0.4810
0.0687 0.4810 0.0763
0.0703 0.6780 0.8785
0.0703 0.8785 0.6780
0.2009 0.1876 0.8541
0.2009 0.5107 0.5107
0.2009 0.8541 0.1876
0.2986 0.0129 0.0129
0.2994 0.3566 0.6894
0.2994 0.6894 0.3566
0.4298 0.1648 0.3598
0.4298 0.3598 0.1648
0.4314 0.5651 0.9662
0.4314 0.9662 0.5651
0.4321 0.7627 0.7627
0.5679 0.7627 0.7627
0.5686 0.5651 0.9662
0.5686 0.9662 0.5651
0.5702 0.1648 0.3598
0.5702 0.3598 0.1648
0.7014 0.0129 0.0129
0.7006 0.3566 0.6894
0.7006 0.6894 0.3566
0.7991 0.1876 0.8541
0.7991 0.5107 0.5107
0.7991 0.8541 0.1876
0.9297 0.6780 0.8785
0.9297 0.8785 0.6780
0.9313 0.0763 0.4810
0.9313 0.4810 0.0763
0.9324 0.2747 0.2747
```


The following is a simulated powder diffraction line list of NdNb4S8. It was derived from a DFT-relaxed cell (PBE, Alexandria), using Cu Kα (λ = 1.5418 Å).
Lines closer than 0.1° are merged.

Largest 8 diffraction maxima, sorted by position, 2θ = 10–90°:
- 12.80 deg, 6.915 Å, I 100
- 16.29 deg, 5.442 Å, I 53
- 29.81 deg, 2.997 Å, I 44
- 32.92 deg, 2.721 Å, I 42
- 38.88 deg, 2.316 Å, I 37
- 39.20 deg, 2.298 Å, I 37
- 40.40 deg, 2.233 Å, I 59
- 53.37 deg, 1.717 Å, I 27

Atomic structure:
```
NdNb4S8
1.0
5.9323 -3.4753 0.0000
5.9323 3.4753 0.0000
-5.5305 0.0000 6.9145
Nd Nb S
1 4 8
Direct
0.0000 0.0000 0.0000
0.2751 0.2751 0.5064
0.2937 0.7063 0.5000
0.7063 0.2937 0.5000
0.7249 0.7249 0.4936
0.0024 0.0024 0.6843
0.0242 0.5173 0.7239
0.4617 0.4617 0.2442
0.4827 0.9758 0.2761
0.5173 0.0242 0.7239
0.5383 0.5383 0.7558
0.9758 0.4827 0.2761
0.9976 0.9976 0.3157
```


The following is a simulated powder diffraction line list of Nd2Nb3Si4. It was derived from a DFT-relaxed cell (PBE, Alexandria), using Cu Kα (λ = 1.5418 Å).
Lines closer than 0.1° are merged.

Largest 8 diffraction maxima, sorted by position, 2θ = 10–90°:
- 28.27 deg, 3.157 Å, I 41
- 33.07 deg, 2.709 Å, I 46
- 35.78 deg, 2.510 Å, I 100
- 35.92 deg, 2.500 Å, I 99
- 36.46 deg, 2.464 Å, I 51
- 40.06 deg, 2.251 Å, I 63
- 40.51 deg, 2.227 Å, I 57
- 57.67 deg, 1.599 Å, I 46

Atomic structure:
```
Nd2Nb3Si4
1.0
7.1623 0.0000 0.0000
0.0000 7.1746 0.0000
-2.2599 0.0000 6.6543
Nd Nb Si
4 6 8
Direct
0.1863 0.1681 0.0650
0.1863 0.3319 0.5650
0.8137 0.6681 0.4350
0.8137 0.8319 0.9350
0.2595 0.6743 0.2484
0.2595 0.8257 0.7484
0.5000 0.0000 0.5000
0.5000 0.5000 0.0000
0.7405 0.1743 0.2516
0.7405 0.3257 0.7516
0.0879 0.5411 0.8739
0.0879 0.9589 0.3739
0.4974 0.1253 0.8725
0.4974 0.3747 0.3725
0.5026 0.6253 0.6275
0.5026 0.8747 0.1275
0.9121 0.0411 0.6261
0.9121 0.4589 0.1261
```


The following is a simulated powder diffraction line list of NdNbZn. It was derived from a DFT-relaxed cell (PBE, Alexandria), using Cu Kα (λ = 1.5418 Å).
Lines closer than 0.1° are merged.

Largest 8 diffraction maxima, sorted by position, 2θ = 10–90°:
- 31.67 deg, 2.826 Å, I 10
- 35.18 deg, 2.551 Å, I 100
- 40.85 deg, 2.209 Å, I 49
- 54.03 deg, 1.697 Å, I 9
- 59.15 deg, 1.562 Å, I 27
- 63.54 deg, 1.464 Å, I 10
- 70.68 deg, 1.333 Å, I 16
- 70.79 deg, 1.331 Å, I 12

Atomic structure:
```
NdNbZn
1.0
4.4128 0.0000 0.0000
0.0000 4.4215 0.0000
0.0000 0.0000 13.2616
Nd Nb Zn
4 4 4
Direct
0.0000 0.0000 0.1775
0.0000 0.0000 0.8225
0.5000 0.5000 0.1775
0.5000 0.5000 0.8225
0.0000 0.5000 0.3667
0.0000 0.5000 0.6333
0.5000 0.0000 0.3667
0.5000 0.0000 0.6333
0.0000 0.0000 0.5000
0.0000 0.5000 0.0000
0.5000 0.0000 0.0000
0.5000 0.5000 0.5000
```


The following is a simulated powder diffraction line list of Nb3Ni8. It was derived from a DFT-relaxed cell (PBE, Alexandria), using Cu Kα (λ = 1.5418 Å).
Lines closer than 0.1° are merged.

Largest 8 diffraction maxima, sorted by position, 2θ = 10–90°:
- 33.91 deg, 2.644 Å, I 72
- 40.80 deg, 2.212 Å, I 65
- 41.54 deg, 2.174 Å, I 60
- 44.05 deg, 2.056 Å, I 64
- 44.47 deg, 2.037 Å, I 80
- 44.77 deg, 2.024 Å, I 86
- 45.37 deg, 1.999 Å, I 100
- 45.48 deg, 1.995 Å, I 61

Atomic structure:
```
Nb3Ni8
1.0
4.5505 0.0000 0.0000
-0.6538 6.0910 0.0000
-1.2024 -3.0663 5.2887
Nb Ni
3 8
Direct
0.0000 0.0000 0.0000
0.0000 0.0000 0.5000
0.0000 0.5000 0.0000
0.2093 0.4459 0.3984
0.4197 0.7659 0.9014
0.4405 0.3548 0.7688
0.4753 0.0793 0.3563
0.5247 0.9207 0.6437
0.5595 0.6452 0.2312
0.5803 0.2341 0.0986
0.7907 0.5541 0.6016
```


The following is a simulated powder diffraction line list of NbNi4. It was derived from a DFT-relaxed cell (PBE, Alexandria), using Cu Kα (λ = 1.5418 Å).
Lines closer than 0.1° are merged.

Largest 8 diffraction maxima, sorted by position, 2θ = 10–90°:
- 43.06 deg, 2.101 Å, I 93
- 43.43 deg, 2.084 Å, I 100
- 45.99 deg, 1.973 Å, I 39
- 47.23 deg, 1.924 Å, I 41
- 48.03 deg, 1.894 Å, I 17
- 57.32 deg, 1.607 Å, I 17
- 68.05 deg, 1.378 Å, I 22
- 89.95 deg, 1.091 Å, I 26

Atomic structure:
```
NbNi4
1.0
-1.9243 2.5598 6.1962
1.9243 -2.5598 6.1962
1.9243 2.5598 -6.1962
Nb Ni
2 8
Direct
0.3623 0.1123 0.2500
0.6377 0.8877 0.7500
0.0000 0.5000 0.5000
0.1466 0.8966 0.2500
0.1785 0.6948 0.4837
0.2890 0.3052 0.9837
0.5000 0.5000 0.0000
0.7110 0.6948 0.0163
0.8215 0.3052 0.5163
0.8534 0.1034 0.7500
```


The following is a simulated powder diffraction line list of Nb2Ni17. It was derived from a DFT-relaxed cell (PBE, Alexandria), using Cu Kα (λ = 1.5418 Å).
Lines closer than 0.1° are merged.

Largest 8 diffraction maxima, sorted by position, 2θ = 10–90°:
- 38.72 deg, 2.326 Å, I 25
- 45.07 deg, 2.012 Å, I 100
- 45.37 deg, 1.999 Å, I 22
- 45.90 deg, 1.977 Å, I 19
- 50.76 deg, 1.799 Å, I 34
- 74.55 deg, 1.273 Å, I 11
- 83.05 deg, 1.163 Å, I 14
- 83.65 deg, 1.156 Å, I 17

Atomic structure:
```
Nb2Ni17
1.0
4.0281 2.3256 3.9975
-4.0281 2.3256 3.9975
0.0000 -4.6513 3.9975
Nb Ni
2 17
Direct
0.1755 0.1755 0.1755
0.8245 0.8245 0.8245
0.0000 0.5000 0.5000
0.1499 0.1499 0.6603
0.1499 0.6603 0.1499
0.1913 0.5000 0.8087
0.1913 0.8087 0.5000
0.3397 0.8501 0.8501
0.3981 0.3981 0.3981
0.5000 0.0000 0.5000
0.5000 0.1913 0.8087
0.5000 0.5000 0.0000
0.5000 0.8087 0.1913
0.6019 0.6019 0.6019
0.6603 0.1499 0.1499
0.8087 0.1913 0.5000
0.8087 0.5000 0.1913
0.8501 0.3397 0.8501
0.8501 0.8501 0.3397
```


The following is a simulated powder diffraction line list of NbNi3. It was derived from a DFT-relaxed cell (PBE, Alexandria), using Cu Kα (λ = 1.5418 Å).
Lines closer than 0.1° are merged.

Largest 8 diffraction maxima, sorted by position, 2θ = 10–90°:
- 40.34 deg, 2.236 Å, I 28
- 42.53 deg, 2.125 Å, I 44
- 44.99 deg, 2.015 Å, I 58
- 45.86 deg, 1.979 Å, I 100
- 60.06 deg, 1.540 Å, I 17
- 72.05 deg, 1.311 Å, I 16
- 80.20 deg, 1.197 Å, I 17
- 87.42 deg, 1.116 Å, I 18

Atomic structure:
```
NbNi3
1.0
4.2508 0.0000 0.0000
0.0000 5.1244 0.0000
0.0000 0.0000 4.5763
Nb Ni
2 6
Direct
0.2500 0.2500 0.1505
0.7500 0.7500 0.8495
0.2500 0.0007 0.6584
0.2500 0.4993 0.6584
0.2500 0.7500 0.1832
0.7500 0.2500 0.8168
0.7500 0.5007 0.3416
0.7500 0.9993 0.3416
```


The following is a simulated powder diffraction line list of NbNi7. It was derived from a DFT-relaxed cell (PBE, Alexandria), using Cu Kα (λ = 1.5418 Å).
Lines closer than 0.1° are merged.

Largest 8 diffraction maxima, sorted by position, 2θ = 10–90°:
- 29.60 deg, 3.018 Å, I 2
- 40.69 deg, 2.217 Å, I 25
- 43.96 deg, 2.060 Å, I 26
- 46.51 deg, 1.953 Å, I 100
- 61.44 deg, 1.509 Å, I 14
- 74.05 deg, 1.280 Å, I 15
- 82.65 deg, 1.167 Å, I 17
- 88.11 deg, 1.109 Å, I 2

Atomic structure:
```
NbNi7
1.0
5.1209 0.0000 0.0000
-2.5604 4.4348 0.0000
0.0000 0.0000 4.1195
Nb Ni
1 7
Direct
0.0000 0.0000 0.0000
0.0036 0.5018 0.0000
0.3333 0.6667 0.5000
0.3454 0.1727 0.5000
0.4982 0.5018 0.0000
0.4982 0.9964 0.0000
0.8273 0.1727 0.5000
0.8273 0.6546 0.5000
```